[1]
This entry pairs a crystal structure of Fe4O3F5 with its theoretical X-ray powder pattern. Radiation: Cu Kα (λ = 1.5418 Å). Structure: DFT lattice parameters and positions (GGA+U).
Neutral-atom scattering factors, no anomalous dispersion.

Top 8 peaks for 10° ≤ 2θ ≤ 90°, low angle first:
index  2θ (°)  I/Imax
1 0 -2  25.61  99
1 0 2  26.53  99
0 2 2  34.31  100
1 2 -2  38.86  22
1 2 -4  50.99  55
1 2 4  52.02  50
0 4 0  59.50  19
0 2 6  65.34  22

Cell and atoms:
Unit cell a=4.846 b=6.214 c=9.655 alpha=90.00 beta=91.99 gamma=90.00
Space group P2_1/m (No. 11)
Symmetry-distinct sites (fractional):
1 Fe 0.000 0.000 0.000 [2 per cell]
2 Fe 0.000 0.000 0.500 [2 per cell]
3 Fe 0.409 0.250 0.259 [2 per cell]
4 Fe 0.461 0.750 0.231 [2 per cell]
5 O 0.181 0.250 0.407 [2 per cell]
6 O 0.286 0.503 0.142 [4 per cell]
7 F 0.182 0.750 0.906 [2 per cell]
8 F 0.200 0.250 0.900 [2 per cell]
9 F 0.216 0.750 0.396 [2 per cell]
10 F 0.328 0.003 0.669 [4 per cell]

[2]
This entry pairs a crystal structure of Li6Fe3Sb3O16 with its theoretical X-ray powder pattern. Radiation: Cu Kα (λ = 1.5418 Å). Structure: DFT lattice parameters and positions (GGA+U).
Neutral-atom scattering factors, no anomalous dispersion.

Top 8 peaks for 10° ≤ 2θ ≤ 90°, low angle first:
index  2θ (°)  I/Imax
1 -1 0  17.14  12
0 0 2  17.75  100
0 1 1  19.18  14
1 -1 1  19.34  24
0 2 -1  35.22  11
2 -2 1  35.85  15
-2 2 1  35.94  12
2 -2 3  44.39  21

Cell and atoms:
Unit cell a=5.955 b=6.022 c=9.993 alpha=90.42 beta=90.24 gamma=119.28
Space group P1 (No. 1)
Symmetry-distinct sites (fractional):
1 Li 0.000 0.000 0.000 [1 per cell]
2 Li 0.002 0.994 0.600 [1 per cell]
3 Li 0.327 0.661 0.121 [1 per cell]
4 Li 0.336 0.659 0.472 [1 per cell]
5 Li 0.641 0.341 0.602 [1 per cell]
6 Li 0.646 0.339 0.111 [1 per cell]
7 Fe 0.329 0.158 0.320 [1 per cell]
8 Fe 0.498 0.494 0.823 [1 per cell]
9 Fe 0.836 0.663 0.323 [1 per cell]
10 Sb 0.002 0.494 0.822 [1 per cell]
11 Sb 0.498 0.990 0.822 [1 per cell]
12 Sb 0.834 0.157 0.320 [1 per cell]
13 O 0.021 0.022 0.205 [1 per cell]
14 O 0.152 0.848 0.416 [1 per cell]
15 O 0.156 0.292 0.431 [1 per cell]
16 O 0.176 0.816 0.935 [1 per cell]
17 O 0.190 0.358 0.928 [1 per cell]
18 O 0.336 0.654 0.711 [1 per cell]
19 O 0.354 0.180 0.720 [1 per cell]
20 O 0.505 0.023 0.211 [1 per cell]
21 O 0.507 0.477 0.232 [1 per cell]
22 O 0.638 0.805 0.927 [1 per cell]
23 O 0.640 0.296 0.426 [1 per cell]
24 O 0.660 0.333 0.928 [1 per cell]
25 O 0.702 0.832 0.426 [1 per cell]
26 O 0.808 0.632 0.718 [1 per cell]
27 O 0.818 0.173 0.708 [1 per cell]
28 O 0.966 0.490 0.218 [1 per cell]

[3]
This entry pairs a crystal structure of Na3Ni2P2C2O14 with its theoretical X-ray powder pattern. Radiation: Cu Kα (λ = 1.5418 Å). Structure: DFT lattice parameters and positions (GGA+U).
Neutral-atom scattering factors, no anomalous dispersion.

Top 8 peaks for 10° ≤ 2θ ≤ 90°, low angle first:
index  2θ (°)  I/Imax
1 1 0  16.82  100
2 0 -2  20.13  42
1 1 -2  22.02  54
1 0 2  25.91  66
0 2 0  27.43  83
0 2 2  33.99  59
2 0 -4  34.85  46
4 1 -2  37.81  35

Cell and atoms:
Unit cell a=10.229 b=6.502 c=10.303 alpha=90.00 beta=118.48 gamma=90.00
Space group P2_1 (No. 4)
Symmetry-distinct sites (fractional):
1 Na 0.246 0.000 0.242 [2 per cell]
2 Na 0.248 0.472 0.248 [2 per cell]
3 Na 0.249 0.025 0.743 [2 per cell]
4 Ni 0.345 0.732 0.568 [2 per cell]
5 Ni 0.351 0.733 0.065 [2 per cell]
6 P 0.425 0.236 0.568 [2 per cell]
7 P 0.431 0.234 0.076 [2 per cell]
8 C 0.078 0.743 0.396 [2 per cell]
9 C 0.081 0.738 0.899 [2 per cell]
10 O 0.057 0.238 0.185 [2 per cell]
11 O 0.058 0.242 0.695 [2 per cell]
12 O 0.133 0.745 0.538 [2 per cell]
13 O 0.142 0.732 0.043 [2 per cell]
14 O 0.180 0.743 0.854 [2 per cell]
15 O 0.181 0.740 0.354 [2 per cell]
16 O 0.325 0.423 0.547 [2 per cell]
17 O 0.327 0.049 0.558 [2 per cell]
18 O 0.332 0.421 0.067 [2 per cell]
19 O 0.333 0.047 0.067 [2 per cell]
20 O 0.419 0.742 0.781 [2 per cell]
21 O 0.426 0.738 0.286 [2 per cell]
22 O 0.461 0.228 0.435 [2 per cell]
23 O 0.463 0.228 0.943 [2 per cell]

[4]
This entry pairs a crystal structure of CoSbP2O8 with its theoretical X-ray powder pattern. Radiation: Cu Kα (λ = 1.5418 Å). Structure: DFT lattice parameters and positions (GGA+U).
Neutral-atom scattering factors, no anomalous dispersion.

Top 8 peaks for 10° ≤ 2θ ≤ 90°, low angle first:
index  2θ (°)  I/Imax
0 0 2  17.43  100
0 2 2  19.74  36
1 2 0  24.34  66
0 2 -1  24.48  30
1 2 2  24.64  70
2 0 0  29.44  74
1 2 -2  34.76  53
1 2 4  35.42  55

Cell and atoms:
Unit cell a=6.068 b=10.147 c=11.268 alpha=64.61 beta=89.99 gamma=89.97
Space group P-1 (No. 2)
Symmetry-distinct sites (fractional):
1 Co 0.250 0.162 0.240 [2 per cell]
2 Co 0.250 0.683 0.205 [2 per cell]
3 Sb 0.250 0.119 0.718 [2 per cell]
4 Sb 0.250 0.612 0.725 [2 per cell]
5 P 0.250 0.253 0.912 [2 per cell]
6 P 0.250 0.358 0.402 [2 per cell]
7 P 0.250 0.738 0.903 [2 per cell]
8 P 0.250 0.853 0.405 [2 per cell]
9 O 0.043 0.459 0.325 [2 per cell]
10 O 0.049 0.216 0.845 [2 per cell]
11 O 0.051 0.961 0.350 [2 per cell]
12 O 0.055 0.702 0.823 [2 per cell]
13 O 0.250 0.171 0.060 [2 per cell]
14 O 0.250 0.216 0.389 [2 per cell]
15 O 0.250 0.342 0.542 [2 per cell]
16 O 0.250 0.421 0.880 [2 per cell]
17 O 0.250 0.636 0.047 [2 per cell]
18 O 0.250 0.727 0.368 [2 per cell]
19 O 0.250 0.796 0.561 [2 per cell]
20 O 0.250 0.898 0.876 [2 per cell]
21 O 0.445 0.702 0.822 [2 per cell]
22 O 0.450 0.216 0.845 [2 per cell]
23 O 0.450 0.960 0.350 [2 per cell]
24 O 0.457 0.459 0.325 [2 per cell]

[5]
This entry pairs a crystal structure of Fe3TeC9SO9 with its theoretical X-ray powder pattern. Radiation: Cu Kα (λ = 1.5418 Å). Structure: DFT lattice parameters and positions (GGA+U).
Neutral-atom scattering factors, no anomalous dispersion.

Top 8 peaks for 10° ≤ 2θ ≤ 90°, low angle first:
index  2θ (°)  I/Imax
0 0 2  12.02  100
1 0 1  12.99  30
1 0 -1  13.84  29
1 1 -1  14.14  29
0 1 2  15.09  25
2 0 2  26.16  28
0 1 -4  26.65  34
-1 2 2  29.58  30

Cell and atoms:
Unit cell a=8.107 b=9.910 c=14.847 alpha=84.45 beta=83.61 gamma=65.87
Space group P-1 (No. 2)
Symmetry-distinct sites (fractional):
1 Fe 0.085 0.202 0.155 [2 per cell]
2 Fe 0.147 0.254 0.351 [2 per cell]
3 Fe 0.227 0.924 0.267 [2 per cell]
4 Te 0.479 0.032 0.250 [2 per cell]
5 C 0.052 0.816 0.226 [2 per cell]
6 C 0.109 0.556 0.628 [2 per cell]
7 C 0.150 0.368 0.116 [2 per cell]
8 C 0.183 0.707 0.894 [2 per cell]
9 C 0.196 0.070 0.053 [2 per cell]
10 C 0.201 0.193 0.475 [2 per cell]
11 C 0.288 0.385 0.320 [2 per cell]
12 C 0.301 0.806 0.389 [2 per cell]
13 C 0.436 0.766 0.180 [2 per cell]
14 S 0.037 0.851 0.706 [2 per cell]
15 O 0.024 0.252 0.793 [2 per cell]
16 O 0.184 0.468 0.087 [2 per cell]
17 O 0.220 0.151 0.550 [2 per cell]
18 O 0.255 0.003 0.989 [2 per cell]
19 O 0.258 0.473 0.623 [2 per cell]
20 O 0.333 0.676 0.904 [2 per cell]
21 O 0.339 0.765 0.462 [2 per cell]
22 O 0.364 0.462 0.314 [2 per cell]
23 O 0.450 0.309 0.869 [2 per cell]

[6]
This entry pairs a crystal structure of LiFeF4 with its theoretical X-ray powder pattern. Radiation: Cu Kα (λ = 1.5418 Å). Structure: DFT lattice parameters and positions (GGA+U).
Neutral-atom scattering factors, no anomalous dispersion.

Top 8 peaks for 10° ≤ 2θ ≤ 90°, low angle first:
index  2θ (°)  I/Imax
1 0 0  17.56  100
0 1 1  24.10  71
1 1 0  24.89  21
1 1 -1  27.41  90
1 1 1  32.37  23
2 1 -1  39.73  21
1 1 2  45.57  37
2 2 0  51.06  33

Cell and atoms:
Unit cell a=5.209 b=5.071 c=5.558 alpha=90.00 beta=104.29 gamma=90.00
Space group P2/c (No. 13)
Symmetry-distinct sites (fractional):
1 Li 0.000 0.173 0.250 [2 per cell]
2 Fe 0.500 0.314 0.750 [2 per cell]
3 F 0.249 0.046 0.627 [4 per cell]
4 F 0.268 0.473 0.398 [4 per cell]

[7]
This entry pairs a crystal structure of LiFePbO3 with its theoretical X-ray powder pattern. Radiation: Cu Kα (λ = 1.5418 Å). Structure: DFT lattice parameters and positions (GGA+U).
Neutral-atom scattering factors, no anomalous dispersion.

Top 8 peaks for 10° ≤ 2θ ≤ 90°, low angle first:
index  2θ (°)  I/Imax
1 0 0  23.05  25
1 0 1  28.86  100
1 1 0  32.83  39
0 0 2  34.66  27
1 1 1  37.25  32
2 0 0  47.10  22
1 1 2  48.48  27
2 1 1  56.19  32

Cell and atoms:
Unit cell a=3.859 b=3.859 c=5.176 alpha=90.00 beta=90.00 gamma=90.00
Space group P4/mmm (No. 123)
Symmetry-distinct sites (fractional):
1 Li 0.000 0.000 0.000 [1 per cell]
2 Fe 0.500 0.500 0.000 [1 per cell]
3 Pb 0.000 0.000 0.500 [1 per cell]
4 O 0.000 0.500 0.000 [2 per cell]
5 O 0.500 0.500 0.500 [1 per cell]